1.
Diffraction record for K2IF4. The powder diffractogram is calculated, not measured: it uses a structure optimized by DFT (GGA-PBE) and λ = 1.5418 Å (Cu Kα).

Atomic structure:
Unit cell a=6.8528 b=6.6505 c=5.3826 alpha=68.50 beta=64.55 gamma=46.95
Sites, in units of the cell vectors:
K 0.2500 0.2500 0.2500
K 0.7500 0.7500 0.7500
I 0.0000 0.0000 0.0000
F 0.2322 0.2322 0.7678
F 0.2591 0.7409 0.2591
F 0.7409 0.2591 0.7409
F 0.7678 0.7678 0.2322

Peak list (10 most intense, 2θ from 15° to 90°, sorted by position)
d [Å], Position (°2θ), I (rel.)
4.830, 18.4, 1000
3.241, 27.5, 185
3.055, 29.2, 233
3.038, 29.4, 420
2.789, 32.1, 307
2.679, 33.4, 292
2.432, 37.0, 192
2.263, 39.8, 135
1.932, 47.0, 205
1.664, 55.2, 199

2.
Diffraction record for K2IO4F. The powder diffractogram is calculated, not measured: it uses a structure optimized by DFT (GGA-PBE) and λ = 1.5418 Å (Cu Kα).

Atomic structure:
Unit cell a=5.2089 b=5.2089 c=10.3073 alpha=114.09 beta=114.09 gamma=35.62
Sites, in units of the cell vectors:
K 0.1241 0.1241 0.2026
K 0.8759 0.8759 0.7974
I 0.0000 0.0000 0.5000
O 0.1136 0.1136 0.6921
O 0.3799 0.3799 0.5230
O 0.6201 0.6201 0.4770
O 0.8864 0.8864 0.3079
F 0.5000 0.5000 0.0000

Peak list (10 most intense, 2θ from 15° to 90°, sorted by position)
d [Å], Position (°2θ), I (rel.)
4.480, 19.8, 640
4.270, 20.8, 1000
3.494, 25.5, 371
3.104, 28.8, 306
3.002, 29.8, 524
2.745, 32.6, 312
2.475, 36.3, 249
2.330, 38.6, 508
2.264, 39.8, 508
1.989, 45.6, 253

3.
Diffraction record for KPaI2F6. The powder diffractogram is calculated, not measured: it uses a structure optimized by DFT (GGA-PBE) and λ = 1.5418 Å (Cu Kα).

Atomic structure:
Unit cell a=7.0734 b=7.0680 c=7.0571 alpha=60.10 beta=60.03 gamma=59.87
Sites, in units of the cell vectors:
K 0.0000 0.0000 0.0000
Pa 0.5000 0.5000 0.5000
I 0.2500 0.2500 0.2500
I 0.7500 0.7500 0.7500
F 0.2875 0.7125 0.2875
F 0.2871 0.7129 0.7129
F 0.2882 0.2882 0.7118
F 0.7118 0.7118 0.2882
F 0.7129 0.2871 0.2871
F 0.7125 0.2875 0.7125

Peak list (10 most intense, 2θ from 15° to 90°, sorted by position)
d [Å], Position (°2θ), I (rel.)
5.769, 15.4, 392
3.533, 25.2, 1000
3.015, 29.6, 115
2.495, 36.0, 215
2.041, 44.4, 276
2.038, 44.5, 138
1.768, 51.7, 139
1.579, 58.5, 109
1.337, 70.5, 119
1.334, 70.6, 118

4.
Diffraction record for K2PbI2F2. The powder diffractogram is calculated, not measured: it uses a structure optimized by DFT (GGA-PBE) and λ = 1.5418 Å (Cu Kα).

Atomic structure:
Unit cell a=10.0241 b=10.0241 c=10.0241 alpha=151.64 beta=151.64 gamma=40.54
Sites, in units of the cell vectors:
K 0.1221 0.1221 0.0000
K 0.8779 0.8779 0.0000
Pb 0.5000 0.5000 0.0000
I 0.3274 0.3274 0.0000
I 0.6726 0.6726 0.0000
F 0.0000 0.5000 0.5000
F 0.5000 0.0000 0.5000

Peak list (10 most intense, 2θ from 15° to 90°, sorted by position)
d [Å], Position (°2θ), I (rel.)
4.752, 18.7, 1000
3.473, 25.6, 873
3.134, 28.5, 313
2.986, 29.9, 888
2.456, 36.6, 462
2.327, 38.7, 386
2.182, 41.4, 292
1.933, 47.0, 313
1.897, 48.0, 475
1.349, 69.7, 171

5.
Diffraction record for La2I5F. The powder diffractogram is calculated, not measured: it uses a structure optimized by DFT (GGA-PBE) and λ = 1.5418 Å (Cu Kα).

Atomic structure:
Unit cell a=8.3065 b=8.3065 c=22.0844 alpha=90.00 beta=90.00 gamma=152.57
Sites, in units of the cell vectors:
La 0.2489 0.7511 0.6622
La 0.2489 0.7511 0.8378
La 0.7511 0.2489 0.1622
La 0.7511 0.2489 0.3378
I 0.1072 0.8928 0.1210
I 0.1072 0.8928 0.3790
I 0.3439 0.6561 0.0729
I 0.3439 0.6561 0.4271
I 0.3921 0.6079 0.2500
I 0.6079 0.3921 0.7500
I 0.6561 0.3439 0.5729
I 0.6561 0.3439 0.9271
I 0.8928 0.1072 0.6210
I 0.8928 0.1072 0.8790
F 0.2105 0.7895 0.2500
F 0.7895 0.2105 0.7500

Peak list (10 most intense, 2θ from 15° to 90°, sorted by position)
d [Å], Position (°2θ), I (rel.)
5.521, 16.1, 336
3.874, 23.0, 501
3.538, 25.2, 225
3.146, 28.4, 1000
2.892, 30.9, 423
2.719, 32.9, 342
2.481, 36.2, 266
2.434, 36.9, 356
2.275, 39.6, 230
1.947, 46.6, 205

6.
Diffraction record for LaIO4F. The powder diffractogram is calculated, not measured: it uses a structure optimized by DFT (GGA-PBE) and λ = 1.5418 Å (Cu Kα).

Atomic structure:
Unit cell a=6.2229 b=6.2229 c=6.9473 alpha=97.54 beta=97.54 gamma=75.43
Sites, in units of the cell vectors:
La 0.1952 0.1952 0.1172
La 0.8048 0.8048 0.8828
I 0.3603 0.3603 0.6826
I 0.6397 0.6397 0.3174
O 0.1369 0.4881 0.8433
O 0.2052 0.2052 0.4795
O 0.4450 0.4450 0.2495
O 0.4881 0.1369 0.8433
O 0.5119 0.8631 0.1567
O 0.5550 0.5550 0.7505
O 0.7948 0.7948 0.5205
O 0.8631 0.5119 0.1567
F 0.0321 0.0321 0.8278
F 0.9679 0.9679 0.1722

Peak list (10 most intense, 2θ from 15° to 90°, sorted by position)
d [Å], Position (°2θ), I (rel.)
4.855, 18.3, 377
4.305, 20.6, 394
3.807, 23.4, 1000
3.683, 24.2, 564
3.114, 28.7, 835
2.898, 30.9, 434
2.852, 31.4, 244
2.647, 33.9, 281
2.065, 43.8, 264
2.036, 44.5, 317